[1]
In3Sb: theoretical powder XRD pattern (Cu Kα (weighted mean of Kα1 and Kα2)), based on a structure optimized by DFT (PBE).
Peak positions follow from Bragg's law for the DFT cell and can differ from measured ones.

Atomic structure:
```
data_In3Sb
_chemical_formula_sum 'In6 Sb2'
_space_group_name_H-M_alt 'C 1 2/m 1'
_space_group_IT_number 12
_space_group_name_Hall '-C 2y'
_cell_length_a 10.391
_cell_length_b 3.230
_cell_length_c 6.672
_cell_angle_alpha 90.00
_cell_angle_beta 93.45
_cell_angle_gamma 90.00
loop_
_atom_site_label
_atom_site_type_symbol
_atom_site_fract_x
_atom_site_fract_y
_atom_site_fract_z
_atom_site_occupancy
In1 In 0.000 0.000 0.000 1
In2 In 0.249 0.000 0.753 1
Sb1 Sb 0.000 0.500 0.500 1
```

Largest 12 diffraction maxima, most intense first, 5 to 70 degrees two-theta:
| 2θ/deg | I (rel.) |
| --- | --- |
| 32.20 | 100 |
| 31.03 | 55 |
| 40.00 | 55 |
| 32.82 | 47 |
| 34.59 | 41 |
| 50.20 | 28 |
| 66.39 | 23 |
| 55.06 | 21 |
| 58.21 | 18 |
| 67.38 | 11 |
| 68.43 | 11 |
| 55.16 | 10 |

***

[2]
NaAcAuO2: theoretical powder XRD pattern (Cu Kα (weighted mean of Kα1 and Kα2)), based on a structure optimized by DFT (PBE).
Peak positions follow from Bragg's law for the DFT cell and can differ from measured ones.

Atomic structure:
```
data_NaAcAuO2
_chemical_formula_sum 'Na2 Ac2 Au2 O4'
_space_group_name_H-M_alt 'P 1 2/c 1'
_space_group_IT_number 13
_space_group_name_Hall '-P 2yc'
_cell_length_a 6.861
_cell_length_b 5.991
_cell_length_c 7.671
_cell_angle_alpha 90.00
_cell_angle_beta 119.34
_cell_angle_gamma 90.00
loop_
_atom_site_label
_atom_site_type_symbol
_atom_site_fract_x
_atom_site_fract_y
_atom_site_fract_z
_atom_site_occupancy
Na1 Na 0.000 0.136 0.250 1
Ac1 Ac 0.500 0.493 0.750 1
Au1 Au 0.500 0.000 0.000 1
O1 O 0.336 0.307 0.424 1
```

Largest 12 diffraction maxima, most intense first, 5 to 70 degrees two-theta:
| 2θ/deg | I (rel.) |
| --- | --- |
| 14.81 | 100 |
| 27.68 | 49 |
| 29.86 | 38 |
| 30.62 | 33 |
| 32.42 | 29 |
| 33.46 | 28 |
| 39.73 | 21 |
| 42.59 | 17 |
| 42.73 | 16 |
| 53.45 | 10 |
| 51.64 | 9 |
| 54.61 | 9 |

***

[3]
Li17CuSi11: theoretical powder XRD pattern (Cu Kα (weighted mean of Kα1 and Kα2)), based on a structure optimized by DFT (PBE).
Peak positions follow from Bragg's law for the DFT cell and can differ from measured ones.

Atomic structure:
```
data_Li17CuSi11
_chemical_formula_sum 'Li34 Cu2 Si22'
_space_group_name_H-M_alt 'C 1 m 1'
_space_group_IT_number 8
_space_group_name_Hall 'C -2y'
_cell_length_a 9.528
_cell_length_b 13.454
_cell_length_c 8.184
_cell_angle_alpha 90.00
_cell_angle_beta 125.17
_cell_angle_gamma 90.00
loop_
_atom_site_label
_atom_site_type_symbol
_atom_site_fract_x
_atom_site_fract_y
_atom_site_fract_z
_atom_site_occupancy
Li1 Li 0.000 0.000 0.000 1
Li2 Li 0.001 0.000 0.362 1
Li3 Li 0.051 0.344 0.394 1
Li4 Li 0.146 0.500 0.643 1
Li5 Li 0.152 0.159 0.604 1
Li6 Li 0.165 0.170 0.996 1
Li7 Li 0.178 0.500 0.291 1
Li8 Li 0.296 0.302 0.313 1
Li9 Li 0.388 0.000 0.713 1
Li10 Li 0.450 0.143 0.996 1
Li11 Li 0.481 0.198 0.684 1
Cu1 Cu 0.170 0.000 0.821 1
Si1 Si 0.000 0.182 0.186 1
Si2 Si 0.218 0.411 0.999 1
Si3 Si 0.269 0.093 0.366 1
Si4 Si 0.308 0.317 0.806 1
Si5 Si 0.362 0.000 0.169 1
Si6 Si 0.405 0.407 0.632 1
```

Largest 12 diffraction maxima, most intense first, 5 to 70 degrees two-theta:
| 2θ/deg | I (rel.) |
| --- | --- |
| 22.89 | 100 |
| 13.17 | 59 |
| 44.65 | 53 |
| 23.03 | 43 |
| 40.28 | 38 |
| 44.98 | 19 |
| 40.14 | 19 |
| 48.83 | 16 |
| 40.42 | 15 |
| 26.61 | 12 |
| 32.59 | 11 |
| 48.71 | 10 |

***

[4]
PrPu3Ge4: theoretical powder XRD pattern (Cu Kα (weighted mean of Kα1 and Kα2)), based on a structure optimized by DFT (PBE).
Peak positions follow from Bragg's law for the DFT cell and can differ from measured ones.

Atomic structure:
```
data_PrPu3Ge4
_chemical_formula_sum 'Pr2 Pu6 Ge8'
_space_group_name_H-M_alt 'I m m m'
_space_group_IT_number 71
_space_group_name_Hall '-I 2 2'
_cell_length_a 3.457
_cell_length_b 6.778
_cell_length_c 16.990
_cell_angle_alpha 90.00
_cell_angle_beta 90.00
_cell_angle_gamma 90.00
loop_
_atom_site_label
_atom_site_type_symbol
_atom_site_fract_x
_atom_site_fract_y
_atom_site_fract_z
_atom_site_occupancy
Pr1 Pr 0.000 0.000 0.000 1
Pu1 Pu 0.000 0.000 0.500 1
Pu2 Pu 0.000 0.500 0.292 1
Ge1 Ge 0.000 0.307 0.131 1
```

Largest 12 diffraction maxima, most intense first, 5 to 70 degrees two-theta:
| 2θ/deg | I (rel.) |
| --- | --- |
| 30.88 | 100 |
| 33.84 | 44 |
| 49.36 | 26 |
| 37.10 | 25 |
| 20.43 | 25 |
| 26.30 | 23 |
| 39.43 | 17 |
| 29.40 | 16 |
| 64.35 | 15 |
| 66.16 | 14 |
| 40.53 | 14 |
| 43.10 | 13 |